The following is a calculated powder diffraction line list of Mg6FeBO8. It was derived from a structure optimized by DFT (GGA+U), using λ = 1.5418 Å (Cu Kα).
Neutral-atom scattering factors, no anomalous dispersion.

Crystal structure
a b c (Å): 4.2221 4.2221 8.5731
angles (deg): 90.00 90.00 90.00
Fractional positions:
1 Mg 0.0000 0.0000 0.0000
2 Mg 0.0000 0.5000 0.2530
3 Mg 0.0000 0.5000 0.7470
4 Mg 0.5000 0.0000 0.2530
5 Mg 0.5000 0.0000 0.7470
6 Mg 0.5000 0.5000 0.0000
7 Fe 0.0000 0.0000 0.5000
8 B 0.5000 0.5000 0.5000
9 O 0.0000 0.0000 0.2454
10 O 0.0000 0.0000 0.7546
11 O 0.0000 0.5000 0.0000
12 O 0.0000 0.5000 0.5000
13 O 0.5000 0.0000 0.0000
14 O 0.5000 0.0000 0.5000
15 O 0.5000 0.5000 0.2544
16 O 0.5000 0.5000 0.7456

Top 10 peaks for 10° ≤ 2θ ≤ 90°, low angle first:
2θ/deg, d_spacing, Rel. int.
21.04, 4.222, 139
23.49, 3.788, 197
29.70, 3.008, 120
36.68, 2.450, 211
42.16, 2.143, 524
42.84, 2.111, 1000
61.67, 1.504, 570
62.19, 1.493, 278
74.42, 1.275, 83
78.01, 1.225, 255